# KSrTbBiO6
Computed powder XRD pattern, λ = 1.5418 Å (Cu Kα). Input: a structure optimized by DFT (PBE).
Peak positions follow from Bragg's law for the DFT cell and can differ from measured ones.

Principal peaks in the range 2θ from 10° to 90°, by angle:
| 2θ (°) | I (rel.) | (hkl) |
| --- | --- | --- |
| 20.4 | 19.2 | 0 0 2 |
| 20.6 | 38.7 | 2 0 0 |
| 29.2 | 100.0 | 2 0 2 |
| 29.3 | 49.7 | 2 2 0 |
| 41.5 | 14.7 | 0 0 4 |
| 41.8 | 14.8 | 0 4 0 |
| 42.0 | 14.9 | 4 0 0 |
| 51.6 | 22.7 | 2 2 4 |
| 51.9 | 43.1 | 2 4 2 |
| 83.8 | 11.6 | 6 2 4 |

Structural model:
a = 8.6111 Å, b = 8.6399 Å, c = 8.6955 Å
α = 90.00°, β = 90.00°, γ = 90.00°
Fractional positions:
K  0.2500  0.2500  0.2500
K  0.2500  0.7500  0.2500
K  0.7500  0.2500  0.7500
K  0.7500  0.7500  0.7500
Sr  0.2500  0.2500  0.7500
Sr  0.2500  0.7500  0.7500
Sr  0.7500  0.2500  0.2500
Sr  0.7500  0.7500  0.2500
Tb  0.0000  0.0000  0.0000
Tb  0.0000  0.5000  0.5000
Tb  0.5000  0.0000  0.5000
Tb  0.5000  0.5000  0.0000
Bi  0.0000  0.0000  0.5000
Bi  0.0000  0.5000  0.0000
Bi  0.5000  0.0000  0.0000
Bi  0.5000  0.5000  0.5000
O  0.0119  0.0293  0.2570
O  0.0119  0.4707  0.2430
O  0.0259  0.7430  0.0213
O  0.0259  0.7570  0.4787
O  0.2427  0.0246  0.5432
O  0.2427  0.4754  0.9568
O  0.2573  0.0246  0.9568
O  0.2573  0.4754  0.5432
O  0.4741  0.7430  0.4787
O  0.4741  0.7570  0.0213
O  0.4881  0.0293  0.2430
O  0.4881  0.4707  0.2570
O  0.5119  0.5293  0.7430
O  0.5119  0.9707  0.7570
O  0.5259  0.2430  0.9787
O  0.5259  0.2570  0.5213
O  0.7427  0.5246  0.4568
O  0.7427  0.9754  0.0432
O  0.7573  0.5246  0.0432
O  0.7573  0.9754  0.4568
O  0.9741  0.2430  0.5213
O  0.9741  0.2570  0.9787
O  0.9881  0.5293  0.7570
O  0.9881  0.9707  0.7430